[1]
Structure and theoretical powder diffractogram of In3AgPd6 (DFT lattice parameters and positions (PBE); Cu Kα).
Peak positions follow from Bragg's law for the DFT cell and can differ from measured ones.

Crystal structure
```
data_In3AgPd6
_space_group_name_H-M_alt 'P 1 21/m 1'
_space_group_IT_number 11
_cell_length_a 7.658
_cell_length_b 4.742
_cell_length_c 10.136
_cell_angle_alpha 90.00
_cell_angle_beta 111.99
_cell_angle_gamma 90.00
loop_
_space_group_symop_operation_xyz
'x,y,z'
'-x,-y,-z'
'-x,y+1/2,-z'
'x,-y+1/2,z'
loop_
_atom_site_label
_atom_site_fract_x
_atom_site_fract_y
_atom_site_fract_z
In1 0.071 0.250 0.221
In2 0.298 0.250 0.016
In3 0.332 0.750 0.383
Ag1 0.120 0.750 0.575
Pd1 0.080 0.250 0.723
Pd2 0.111 0.750 0.076
Pd3 0.282 0.250 0.519
Pd4 0.313 0.750 0.873
Pd5 0.475 0.250 0.316
Pd6 0.484 0.250 0.821
```

The 6 most intense peaks (2θ from 5° to 70°), low angle first:
hkl 2 0 2, 2θ 37.01, intensity 44
hkl 0 2 0, 2θ 37.95, intensity 67
hkl 1 1 -4, 2θ 40.39, intensity 100
hkl 3 1 -2, 2θ 40.43, intensity 97
hkl 2 1 2, 2θ 41.79, intensity 37
hkl 2 2 2, 2θ 54.05, intensity 29

---

[2]
Structure and theoretical powder diffractogram of RbTl5Hg4 (DFT lattice parameters and positions (PBE); Cu Kα).
Peak positions follow from Bragg's law for the DFT cell and can differ from measured ones.

Crystal structure
```
data_RbTl5Hg4
_space_group_name_H-M_alt 'P -1'
_space_group_IT_number 2
_cell_length_a 5.687
_cell_length_b 7.175
_cell_length_c 9.080
_cell_angle_alpha 71.56
_cell_angle_beta 86.94
_cell_angle_gamma 70.64
loop_
_space_group_symop_operation_xyz
'x,y,z'
'-x,-y,-z'
loop_
_atom_site_label
_atom_site_fract_x
_atom_site_fract_y
_atom_site_fract_z
Rb1 0.000 0.000 0.000
Tl1 0.000 0.000 0.500
Tl2 0.224 0.570 0.386
Tl3 0.348 0.313 0.135
Hg1 0.217 0.544 0.775
Hg2 0.422 0.131 0.638
```

The 6 most intense peaks (2θ from 5° to 70°), low angle first:
hkl 0 0 1, 2θ 10.29, intensity 44
hkl 0 1 -2, 2θ 28.41, intensity 77
hkl -1 1 2, 2θ 28.87, intensity 65
hkl 1 2 2, 2θ 29.12, intensity 58
hkl 2 1 0, 2θ 31.64, intensity 100
hkl -1 1 3, 2θ 35.73, intensity 66